Record 1
# FeH4S2O10
Theoretical XRD peak list, Cu Kα, 1.54184 Å. Input: a structure optimized by DFT (PBE+U).
Intensities are scaled so that the largest is 100.

Structural model:
```
data_FeH4S2O10
_chemical_formula_sum 'Fe2 H8 S4 O20'
_space_group_name_H-M_alt 'P 1'
_space_group_IT_number 1
_cell_length_a 6.5456
_cell_length_b 7.4715
_cell_length_c 10.4791
_cell_angle_alpha 94.97
_cell_angle_beta 107.94
_cell_angle_gamma 113.15
loop_
_space_group_symop_operation_xyz
'x,y,z'
loop_
_atom_site_label
_atom_site_type_symbol
_atom_site_fract_x
_atom_site_fract_y
_atom_site_fract_z
Fe1 Fe 0.0024 0.4803 0.2510
Fe2 Fe 0.9976 0.5197 0.7490
H1 H 0.0605 0.8215 0.2005
H2 H 0.0962 0.8406 0.3634
H3 H 0.1283 0.9171 0.7881
H4 H 0.1605 0.1988 0.2912
H5 H 0.8395 0.8012 0.7088
H6 H 0.8717 0.0829 0.2119
H7 H 0.9038 0.1594 0.6366
H8 H 0.9395 0.1785 0.7995
S1 S 0.3124 0.7303 0.0815
S2 S 0.3259 0.7243 0.5737
S3 S 0.6741 0.2757 0.4263
S4 S 0.6876 0.2697 0.9185
O1 O 0.0032 0.2443 0.7318
O2 O 0.0159 0.2106 0.2349
O3 O 0.1691 0.8415 0.0714
O4 O 0.2047 0.8521 0.5452
O5 O 0.2441 0.5664 0.4443
O6 O 0.2455 0.6042 0.9412
O7 O 0.2646 0.5896 0.1758
O8 O 0.2676 0.6161 0.6822
O9 O 0.4128 0.1654 0.3762
O10 O 0.4298 0.1407 0.8662
O11 O 0.5702 0.8593 0.1338
O12 O 0.5872 0.8346 0.6238
O13 O 0.7324 0.3839 0.3178
O14 O 0.7353 0.4104 0.8242
O15 O 0.7545 0.3958 0.0588
O16 O 0.7559 0.4336 0.5557
O17 O 0.7953 0.1479 0.4548
O18 O 0.8309 0.1585 0.9286
O19 O 0.9841 0.7894 0.7651
O20 O 0.9968 0.7557 0.2682
```

Largest 10 diffraction maxima, in order of falling intensity, 10 to 90 degrees two-theta:
15.54 deg, 5.702 Å, rel. 100; 24.96 deg, 3.567 Å, rel. 31; 13.27 deg, 6.673 Å, rel. 30; 25.16 deg, 3.540 Å, rel. 26; 28.56 deg, 3.126 Å, rel. 19; 24.27 deg, 3.668 Å, rel. 17; 30.40 deg, 2.940 Å, rel. 15; 36.31 deg, 2.474 Å, rel. 11; 34.43 deg, 2.604 Å, rel. 11; 15.87 deg, 5.583 Å, rel. 9



Record 2
# LiCoO2
Theoretical XRD peak list, Cu Kα, 1.54184 Å. Input: a structure optimized by DFT (PBE+U).
Intensities are scaled so that the largest is 100.

Structural model:
```
data_LiCoO2
_chemical_formula_sum 'Li4 Co4 O8'
_space_group_name_H-M_alt 'P 1'
_space_group_IT_number 1
_cell_length_a 5.7752
_cell_length_b 5.7960
_cell_length_c 5.8139
_cell_angle_alpha 119.72
_cell_angle_beta 119.40
_cell_angle_gamma 90.38
loop_
_space_group_symop_operation_xyz
'x,y,z'
loop_
_atom_site_label
_atom_site_type_symbol
_atom_site_fract_x
_atom_site_fract_y
_atom_site_fract_z
Li1 Li 0.0000 0.0000 0.0000
Li2 Li 0.0000 0.0000 0.5000
Li3 Li 0.0000 0.5000 0.0000
Li4 Li 0.5000 0.0000 0.5000
Co1 Co 0.0000 0.5000 0.5000
Co2 Co 0.5000 0.0000 0.0000
Co3 Co 0.5000 0.5000 0.0000
Co4 Co 0.5000 0.5000 0.5000
O1 O 0.2560 0.2703 0.5068
O2 O 0.2635 0.7400 0.5123
O3 O 0.2663 0.7538 0.9933
O4 O 0.2726 0.2681 0.0296
O5 O 0.7274 0.7319 0.9704
O6 O 0.7337 0.2462 0.0067
O7 O 0.7365 0.2600 0.4877
O8 O 0.7440 0.7297 0.4932
```

Largest 10 diffraction maxima, in order of falling intensity, 10 to 90 degrees two-theta:
18.69 deg, 4.747 Å, rel. 100; 43.60 deg, 2.076 Å, rel. 26; 44.13 deg, 2.052 Å, rel. 25; 44.44 deg, 2.039 Å, rel. 25; 37.87 deg, 2.376 Å, rel. 16; 63.91 deg, 1.457 Å, rel. 14; 35.95 deg, 2.498 Å, rel. 12; 36.25 deg, 2.478 Å, rel. 11; 36.40 deg, 2.468 Å, rel. 10; 36.50 deg, 2.462 Å, rel. 7



Record 3
# Li5Mn2P2C2O14
Theoretical XRD peak list, Cu Kα, 1.54184 Å. Input: a structure optimized by DFT (PBE+U).
Intensities are scaled so that the largest is 100.

Structural model:
```
data_Li5Mn2P2C2O14
_chemical_formula_sum 'Li10 Mn4 P4 C4 O28'
_space_group_name_H-M_alt 'P 1'
_space_group_IT_number 1
_cell_length_a 9.5531
_cell_length_b 6.4467
_cell_length_c 10.1662
_cell_angle_alpha 90.00
_cell_angle_beta 117.75
_cell_angle_gamma 90.00
loop_
_space_group_symop_operation_xyz
'x,y,z'
loop_
_atom_site_label
_atom_site_type_symbol
_atom_site_fract_x
_atom_site_fract_y
_atom_site_fract_z
Li1 Li 0.0897 0.2500 0.4218
Li2 Li 0.2552 0.0197 0.2459
Li3 Li 0.2552 0.4803 0.2459
Li4 Li 0.2613 0.0188 0.7638
Li5 Li 0.2613 0.4812 0.7638
Li6 Li 0.7387 0.5188 0.2362
Li7 Li 0.7387 0.9812 0.2362
Li8 Li 0.7448 0.5197 0.7541
Li9 Li 0.7448 0.9803 0.7541
Li10 Li 0.9103 0.7500 0.5782
Mn1 Mn 0.3358 0.7500 0.5618
Mn2 Mn 0.3404 0.7500 0.0617
Mn3 Mn 0.6596 0.2500 0.9383
Mn4 Mn 0.6642 0.2500 0.4382
P1 P 0.4150 0.2500 0.5656
P2 P 0.4197 0.2500 0.0737
P3 P 0.5803 0.7500 0.9263
P4 P 0.5850 0.7500 0.4344
C1 C 0.0336 0.7500 0.3736
C2 C 0.0459 0.7500 0.8693
C3 C 0.9541 0.2500 0.1307
C4 C 0.9664 0.2500 0.6264
O1 O 0.0723 0.7500 0.5145
O2 O 0.0978 0.7500 0.0114
O3 O 0.1035 0.2500 0.2253
O4 O 0.1097 0.2500 0.7273
O5 O 0.1501 0.7500 0.8197
O6 O 0.1524 0.7500 0.3409
O7 O 0.3122 0.0639 0.5688
O8 O 0.3122 0.4361 0.5688
O9 O 0.3254 0.0590 0.0791
O10 O 0.3254 0.4410 0.0791
O11 O 0.4105 0.7500 0.7932
O12 O 0.4165 0.7500 0.3022
O13 O 0.4277 0.2500 0.4182
O14 O 0.4365 0.2500 0.9271
O15 O 0.5635 0.7500 0.0729
O16 O 0.5723 0.7500 0.5818
O17 O 0.5835 0.2500 0.6978
O18 O 0.5895 0.2500 0.2068
O19 O 0.6746 0.5590 0.9209
O20 O 0.6746 0.9410 0.9209
O21 O 0.6878 0.5639 0.4312
O22 O 0.6878 0.9361 0.4312
O23 O 0.8476 0.2500 0.6591
O24 O 0.8499 0.2500 0.1803
O25 O 0.8903 0.7500 0.2727
O26 O 0.8965 0.7500 0.7747
O27 O 0.9022 0.2500 0.9886
O28 O 0.9277 0.2500 0.4855
```

Largest 10 diffraction maxima, in order of falling intensity, 10 to 90 degrees two-theta:
10.46 deg, 8.454 Å, rel. 100; 27.68 deg, 3.223 Å, rel. 91; 21.10 deg, 4.210 Å, rel. 45; 26.42 deg, 3.373 Å, rel. 39; 19.73 deg, 4.499 Å, rel. 31; 17.30 deg, 5.126 Å, rel. 29; 25.26 deg, 3.525 Å, rel. 26; 36.23 deg, 2.479 Å, rel. 26; 31.75 deg, 2.818 Å, rel. 23; 40.27 deg, 2.240 Å, rel. 20



> Number 1 is which compound?

FeH4S2O10